Theoretical powder diffraction line list of TlGaWF2 for λ = 1.5418 Å (Cu Kα), from a DFT-relaxed cell (PBE+U, Alexandria).
Kinematic intensities with the Lorentz-polarization factor, no thermal factor.

Largest 12 diffraction maxima, in order of rising 2θ, 10 to 80 degrees two-theta:
d = 4.232 Å, 2θ = 21.0°, I 1000, (1 0 0); d = 3.070 Å, 2θ = 29.1°, I 592, (0 0 2); d = 2.992 Å, 2θ = 29.9°, I 770, (1 1 0); d = 2.485 Å, 2θ = 36.1°, I 514, (1 0 2); d = 2.143 Å, 2θ = 42.2°, I 620, (1 1 2); d = 2.116 Å, 2θ = 42.7°, I 416, (2 0 0); d = 1.892 Å, 2θ = 48.1°, I 234, (2 1 0); d = 1.742 Å, 2θ = 52.5°, I 452, (2 0 2); d = 1.611 Å, 2θ = 57.2°, I 283, (2 1 2); d = 1.366 Å, 2θ = 68.7°, I 152, (1 1 4); d = 1.345 Å, 2θ = 70.0°, I 189, (2 2 2); d = 1.227 Å, 2θ = 77.9°, I 218, (3 1 2)

```
TlGaWF2
1.0
4.2316 0.0000 0.0000
0.0000 4.2316 0.0000
0.0000 0.0000 6.1395
Tl Ga W F
1 1 1 2
direct
0.0000 0.0000 0.0000 Tl
0.5000 0.5000 0.0000 Ga
0.0000 0.0000 0.5000 W
0.0000 0.5000 0.5000 F
0.5000 0.0000 0.5000 F
```